Starting from the PBE geometry in Alexandria, the powder X-ray diffraction pattern of TbZn11Ga was calculated for Cu Kα X-rays.
Kinematic intensities with the Lorentz-polarization factor, no thermal factor.

The 10 most intense peaks (2θ = 10–80°), in order of rising 2θ:
- 2θ = 28.1°, rel. 22
- 2θ = 34.1°, rel. 18
- 2θ = 34.8°, rel. 48
- 2θ = 39.8°, rel. 76
- 2θ = 40.4°, rel. 100
- 2θ = 40.6°, rel. 55
- 2θ = 44.9°, rel. 27
- 2θ = 45.7°, rel. 17
- 2θ = 65.3°, rel. 17
- 2θ = 73.7°, rel. 14

Cell and atoms:
```
TbZn11Ga
1.0
2.6306 -6.2872 0.0000
2.6306 6.2872 0.0000
-2.6151 0.0000 6.2770
Tb Zn Ga
1 11 1
Direct
0.0000 0.0000 0.0000
0.0000 0.0000 0.5000
0.0000 0.5000 0.0000
0.0101 0.6524 0.6469
0.2785 0.4961 0.7854
0.3476 0.9899 0.3531
0.4961 0.2785 0.7854
0.5000 0.0000 0.0000
0.5039 0.7215 0.2146
0.6524 0.0101 0.6469
0.7215 0.5039 0.2146
0.9899 0.3476 0.3531
0.5000 0.5000 0.5000
```